[1]
# Ho2Ge6Pt21
Computed X-ray diffraction stick pattern, copper Kα. Input: DFT lattice parameters and positions (PBE).

The 12 most intense peaks (2θ = 10–90°), in order of falling intensity:
d = 2.407 Å, I = 100, (3 3 3)
d = 2.211 Å, I = 32, (4 4 0)
d = 2.114 Å, I = 31, (5 3 1)
d = 1.474 Å, I = 24, (6 6 0)
d = 1.277 Å, I = 22, (8 4 4)
d = 2.553 Å, I = 20, (4 2 2)
d = 2.085 Å, I = 16, (6 0 0)
d = 1.444 Å, I = 15, (5 5 5)
d = 2.797 Å, I = 13, (4 2 0)
d = 1.886 Å, I = 13, (6 2 2)
d = 1.257 Å, I = 9, (9 3 3)
d = 1.373 Å, I = 9, (9 1 1)

Structural model:
a b c (Å): 12.508 12.508 12.508
angles (deg): 90.00 90.00 90.00
Space group Fm-3m (No. 225)
Inequivalent atoms, fractional coordinates:
Ho 0.250 0.250 0.250 x8
Ge 0.000 0.000 0.232 x24
Pt 0.000 0.000 0.500 x4
Pt 0.000 0.174 0.326 x48
Pt 0.119 0.119 0.119 x32

---

[2]
# Tb2HoGe2Pt7
Computed X-ray diffraction stick pattern, copper Kα. Input: DFT lattice parameters and positions (PBE).

The 12 most intense peaks (2θ = 10–90°), in order of falling intensity:
d = 2.496 Å, I = 100, (2 0 2)
d = 2.028 Å, I = 93, (2 2 -1)
d = 2.430 Å, I = 91, (0 2 3)
d = 2.796 Å, I = 48, (0 2 1)
d = 2.619 Å, I = 45, (2 0 -3)
d = 2.641 Å, I = 31, (0 2 2)
d = 2.016 Å, I = 25, (2 2 0)
d = 1.253 Å, I = 25, (4 2 1)
d = 2.398 Å, I = 24, (2 0 -4)
d = 2.114 Å, I = 23, (1 1 -6)
d = 2.205 Å, I = 22, (0 2 4)
d = 2.420 Å, I = 21, (1 1 -5)

Structural model:
a b c (Å): 5.766 5.710 14.076
angles (deg): 90.00 99.22 90.00
Space group C2/m (No. 12)
Inequivalent atoms, fractional coordinates:
Tb 0.124 0.000 0.358 x4
Ho 0.000 0.000 0.000 x2
Ge 0.102 0.500 0.258 x4
Pt 0.000 0.500 0.000 x2
Pt 0.137 0.500 0.432 x4
Pt 0.189 0.250 0.845 x8

---

[3]
# Ho5Pu2Ge4
Computed X-ray diffraction stick pattern, copper Kα. Input: DFT lattice parameters and positions (PBE).

The 12 most intense peaks (2θ = 10–90°), in order of falling intensity:
d = 2.791 Å, I = 100, (5 1 -1)
d = 3.114 Å, I = 47, (3 1 1)
d = 2.558 Å, I = 42, (1 1 2)
d = 2.276 Å, I = 35, (0 2 0)
d = 2.739 Å, I = 27, (6 0 1)
d = 3.170 Å, I = 21, (2 0 -2)
d = 1.395 Å, I = 19, (5 3 -1)
d = 1.947 Å, I = 18, (1 1 -3)
d = 2.522 Å, I = 16, (4 0 2)
d = 1.643 Å, I = 15, (11 1 0)
d = 1.751 Å, I = 15, (6 2 1)
d = 2.422 Å, I = 11, (8 0 0)

Structural model:
a b c (Å): 19.556 4.552 6.462
angles (deg): 90.00 97.73 90.00
Space group C2/m (No. 12)
Inequivalent atoms, fractional coordinates:
Ho 0.000 0.000 0.000 x2
Ho 0.088 0.000 0.511 x4
Ho 0.241 0.500 0.697 x4
Pu 0.128 0.500 0.085 x4
Ge 0.004 0.500 0.705 x4
Ge 0.183 0.000 0.883 x4

---

[4]
# HoReGe
Computed X-ray diffraction stick pattern, copper Kα. Input: DFT lattice parameters and positions (PBE).

The 12 most intense peaks (2θ = 10–90°), in order of falling intensity:
d = 8.446 Å, I = 100, (0 0 1)
d = 2.588 Å, I = 94, (1 1 2)
d = 2.160 Å, I = 66, (3 1 -1)
d = 3.470 Å, I = 39, (1 1 -1)
d = 2.570 Å, I = 37, (2 0 -3)
d = 2.064 Å, I = 30, (0 2 0)
d = 1.609 Å, I = 25, (2 2 -3)
d = 2.815 Å, I = 20, (0 0 3)
d = 3.682 Å, I = 17, (2 0 0)
d = 2.096 Å, I = 16, (1 1 3)
d = 1.462 Å, I = 16, (1 1 5)
d = 1.711 Å, I = 15, (4 0 1)

Structural model:
a b c (Å): 7.608 4.129 8.727
angles (deg): 90.00 104.57 90.00
Space group C2/m (No. 12)
Inequivalent atoms, fractional coordinates:
Ho 0.208 0.000 0.169 x4
Re 0.149 0.500 0.461 x4
Ge 0.066 0.000 0.666 x4

---

[5]
# HoGe4Rh2
Computed X-ray diffraction stick pattern, copper Kα. Input: DFT lattice parameters and positions (PBE).

The 12 most intense peaks (2θ = 10–90°), in order of falling intensity:
d = 2.512 Å, I = 100, (2 1 2)
d = 2.475 Å, I = 67, (5 1 1)
d = 2.115 Å, I = 46, (0 2 0)
d = 2.300 Å, I = 31, (7 0 1)
d = 1.557 Å, I = 18, (7 2 1)
d = 2.368 Å, I = 17, (6 1 0)
d = 1.372 Å, I = 16, (9 1 3)
d = 1.926 Å, I = 16, (2 1 3)
d = 2.082 Å, I = 15, (3 0 3)
d = 1.353 Å, I = 14, (12 1 0)
d = 1.651 Å, I = 13, (7 0 3)
d = 1.934 Å, I = 13, (6 1 2)

Structural model:
a b c (Å): 17.143 4.230 6.706
angles (deg): 90.00 90.00 90.00
Space group Pnma (No. 62)
Inequivalent atoms, fractional coordinates:
Ho 0.142 0.250 0.006 x4
Ge 0.035 0.750 0.866 x4
Ge 0.065 0.250 0.466 x4
Ge 0.181 0.750 0.309 x4
Ge 0.192 0.750 0.727 x4
Rh 0.031 0.750 0.248 x4
Rh 0.212 0.250 0.522 x4

---

[6]
# Ho3Ge3Rh2
Computed X-ray diffraction stick pattern, copper Kα. Input: DFT lattice parameters and positions (PBE).

The 12 most intense peaks (2θ = 10–90°), in order of falling intensity:
d = 2.648 Å, I = 100, (1 1 4)
d = 2.152 Å, I = 79, (2 0 0)
d = 2.352 Å, I = 51, (1 3 3)
d = 2.663 Å, I = 49, (1 3 1)
d = 2.365 Å, I = 21, (0 0 6)
d = 2.292 Å, I = 19, (0 4 3)
d = 2.576 Å, I = 17, (0 4 1)
d = 2.620 Å, I = 17, (0 4 0)
d = 1.414 Å, I = 16, (1 7 0)
d = 2.495 Å, I = 16, (0 2 5)
d = 1.569 Å, I = 15, (2 4 3)
d = 1.623 Å, I = 12, (1 3 7)

Structural model:
a b c (Å): 4.301 10.480 14.188
angles (deg): 90.00 90.00 90.00
Space group Cmcm (No. 63)
Inequivalent atoms, fractional coordinates:
Ho 0.000 0.083 0.110 x8
Ho 0.000 0.356 0.250 x4
Ge 0.000 0.346 0.750 x4
Ge 0.000 0.381 0.037 x8
Rh 0.000 0.203 0.599 x8